Record 1
Theoretical powder diffraction line list of Na3FeO4 for Cu Kα, from a crystal structure in the Materials Project, relaxed with PBE+U.

Atomic structure:
Cell: 10.970 12.815 5.736 Å, 90.00 109.97 90.00°
Space group C2/m (No. 12)
Unique sites:
Na (0.000, 0.000, 0.000) (multiplicity 2)
Na (0.000, 0.124, 0.500) (multiplicity 4)
Na (0.000, 0.243, 0.000) (multiplicity 4)
Na (0.000, 0.500, 0.000) (multiplicity 2)
Na (0.242, 0.378, 0.016) (multiplicity 8)
Na (0.250, 0.250, 0.500) (multiplicity 4)
Fe (0.000, 0.376, 0.500) (multiplicity 4)
Fe (0.250, 0.000, 0.471) (multiplicity 4)
O (0.096, 0.279, 0.719) (multiplicity 8)
O (0.109, 0.500, 0.691) (multiplicity 4)
O (0.120, 0.392, 0.322) (multiplicity 8)
O (0.151, 0.104, 0.272) (multiplicity 8)
O (0.165, 0.000, 0.692) (multiplicity 4)

Top 10 peaks for 15 to 90 degrees two-theta, low angle first:
index  2theta  Rel. int.
0 0 1  16.44  44
1 1 -1  17.20  15
0 0 2  33.23  16
2 4 -1  34.13  28
4 0 0  34.81  13
4 0 -2  39.25  47
2 4 1  39.71  100
2 4 -3  56.01  24
4 0 2  57.27  13
6 4 -1  58.10  23

Record 2
Theoretical powder diffraction line list of Na4FeO5 for Cu Kα, from a crystal structure in the Materials Project, relaxed with PBE+U.

Atomic structure:
Cell: 7.314 8.751 8.844 Å, 84.45 65.67 89.56°
Space group P1 (No. 1)
Unique sites:
Na (0.000, 0.000, 0.000) (multiplicity 1)
Na (0.031, 0.554, 0.311) (multiplicity 1)
Na (0.156, 0.669, 0.906) (multiplicity 1)
Na (0.192, 0.200, 0.211) (multiplicity 1)
Na (0.247, 0.752, 0.510) (multiplicity 1)
Na (0.283, 0.298, 0.809) (multiplicity 1)
Na (0.395, 0.402, 0.419) (multiplicity 1)
Na (0.444, 0.948, 0.715) (multiplicity 1)
Na (0.488, 0.513, 0.011) (multiplicity 1)
Na (0.544, 0.057, 0.306) (multiplicity 1)
Na (0.653, 0.143, 0.903) (multiplicity 1)
Na (0.689, 0.694, 0.219) (multiplicity 1)
Na (0.745, 0.258, 0.514) (multiplicity 1)
Na (0.787, 0.805, 0.812) (multiplicity 1)
Na (0.897, 0.897, 0.413) (multiplicity 1)
Na (0.943, 0.438, 0.716) (multiplicity 1)
Fe (0.112, 0.082, 0.574) (multiplicity 1)
Fe (0.327, 0.869, 0.147) (multiplicity 1)
Fe (0.579, 0.610, 0.641) (multiplicity 1)
Fe (0.842, 0.357, 0.113) (multiplicity 1)
O (0.082, 0.801, 0.152) (multiplicity 1)
O (0.086, 0.280, 0.486) (multiplicity 1)
O (0.103, 0.420, 0.063) (multiplicity 1)
O (0.108, 0.917, 0.727) (multiplicity 1)
O (0.221, 0.976, 0.360) (multiplicity 1)
O (0.331, 0.035, 0.994) (multiplicity 1)
O (0.338, 0.544, 0.647) (multiplicity 1)
O (0.351, 0.671, 0.236) (multiplicity 1)
O (0.353, 0.152, 0.573) (multiplicity 1)
O (0.491, 0.709, 0.822) (multiplicity 1)
O (0.586, 0.305, 0.137) (multiplicity 1)
O (0.587, 0.771, 0.489) (multiplicity 1)
O (0.601, 0.905, 0.080) (multiplicity 1)
O (0.604, 0.417, 0.734) (multiplicity 1)
O (0.738, 0.438, 0.310) (multiplicity 1)
O (0.837, 0.046, 0.641) (multiplicity 1)
O (0.850, 0.644, 0.575) (multiplicity 1)
O (0.851, 0.541, 0.986) (multiplicity 1)
O (0.864, 0.173, 0.229) (multiplicity 1)
O (0.926, 0.245, 0.930) (multiplicity 1)

Top 10 peaks for 15 to 90 degrees two-theta, low angle first:
index  2theta  Rel. int.
1 1 0  17.05  33
1 -1 1  17.18  34
-1 1 1  22.21  47
1 1 -2  33.05  27
2 0 3  33.20  14
2 -2 0  33.29  13
0 2 3  37.65  56
3 1 1  38.87  100
3 3 4  55.14  20
1 -1 5  55.21  26

Record 3
Theoretical powder diffraction line list of Na3FeO3 for Cu Kα, from a crystal structure in the Materials Project, relaxed with PBE+U.

Atomic structure:
Cell: 5.901 5.940 12.482 Å, 89.20 89.51 64.43°
Space group P1 (No. 1)
Unique sites:
Na (0.000, 0.000, 0.000) (multiplicity 1)
Na (0.020, 0.884, 0.239) (multiplicity 1)
Na (0.079, 0.898, 0.738) (multiplicity 1)
Na (0.104, 0.784, 0.503) (multiplicity 1)
Na (0.154, 0.346, 0.321) (multiplicity 1)
Na (0.443, 0.934, 0.121) (multiplicity 1)
Na (0.497, 0.502, 0.944) (multiplicity 1)
Na (0.522, 0.386, 0.707) (multiplicity 1)
Na (0.582, 0.401, 0.205) (multiplicity 1)
Na (0.604, 0.285, 0.446) (multiplicity 1)
Na (0.661, 0.852, 0.625) (multiplicity 1)
Na (0.950, 0.435, 0.821) (multiplicity 1)
Fe (0.034, 0.320, 0.565) (multiplicity 1)
Fe (0.061, 0.466, 0.063) (multiplicity 1)
Fe (0.542, 0.821, 0.387) (multiplicity 1)
Fe (0.561, 0.969, 0.881) (multiplicity 1)
O (0.109, 0.532, 0.658) (multiplicity 1)
O (0.250, 0.643, 0.094) (multiplicity 1)
O (0.272, 0.213, 0.952) (multiplicity 1)
O (0.353, 0.048, 0.483) (multiplicity 1)
O (0.364, 0.652, 0.351) (multiplicity 1)
O (0.496, 0.758, 0.791) (multiplicity 1)
O (0.599, 0.020, 0.289) (multiplicity 1)
O (0.750, 0.146, 0.855) (multiplicity 1)
O (0.769, 0.716, 0.996) (multiplicity 1)
O (0.833, 0.584, 0.439) (multiplicity 1)
O (0.842, 0.136, 0.593) (multiplicity 1)
O (0.995, 0.251, 0.158) (multiplicity 1)

Top 10 peaks for 15 to 90 degrees two-theta, low angle first:
index  2theta  Rel. int.
1 1 0  17.71  27
1 0 -2  21.95  100
1 0 4  33.28  40
1 1 4  33.63  19
2 0 0  33.68  39
1 1 -4  34.09  28
2 2 0  35.85  48
-1 1 4  40.56  39
1 -1 4  40.77  29
2 -1 2  46.50  27

Record 4
Theoretical powder diffraction line list of Na14Fe2O9 for Cu Kα, from a crystal structure in the Materials Project, relaxed with PBE+U.

Atomic structure:
Cell: 6.674 6.710 9.427 Å, 89.65 89.26 60.39°
Space group P1 (No. 1)
Unique sites:
Na (0.000, 0.000, 0.000) (multiplicity 1)
Na (0.001, 0.999, 0.504) (multiplicity 1)
Na (0.038, 0.641, 0.344) (multiplicity 1)
Na (0.068, 0.308, 0.661) (multiplicity 1)
Na (0.315, 0.624, 0.659) (multiplicity 1)
Na (0.320, 0.042, 0.343) (multiplicity 1)
Na (0.361, 0.680, 0.160) (multiplicity 1)
Na (0.378, 0.932, 0.843) (multiplicity 1)
Na (0.624, 0.065, 0.661) (multiplicity 1)
Na (0.639, 0.322, 0.345) (multiplicity 1)
Na (0.678, 0.962, 0.160) (multiplicity 1)
Na (0.687, 0.375, 0.845) (multiplicity 1)
Na (0.935, 0.689, 0.845) (multiplicity 1)
Na (0.961, 0.361, 0.160) (multiplicity 1)
Fe (0.329, 0.333, 0.993) (multiplicity 1)
Fe (0.671, 0.667, 0.512) (multiplicity 1)
O (0.058, 0.303, 0.913) (multiplicity 1)
O (0.303, 0.642, 0.917) (multiplicity 1)
O (0.336, 0.336, 0.211) (multiplicity 1)
O (0.360, 0.947, 0.587) (multiplicity 1)
O (0.640, 0.051, 0.917) (multiplicity 1)
O (0.663, 0.668, 0.293) (multiplicity 1)
O (0.700, 0.358, 0.589) (multiplicity 1)
O (0.945, 0.693, 0.592) (multiplicity 1)
O (0.999, 0.001, 0.252) (multiplicity 1)

Top 10 peaks for 15 to 90 degrees two-theta, low angle first:
index  2theta  Rel. int.
1 0 1  17.88  96
1 1 -1  18.07  49
-1 1 1  28.25  45
1 -1 2  32.57  71
1 2 2  32.67  46
2 1 -2  33.10  45
0 3 0  46.71  46
2 1 4  46.94  100
-1 1 4  47.19  96
1 2 -4  47.28  52

Record 5
Theoretical powder diffraction line list of Na5Fe11O16 for Cu Kα, from a crystal structure in the Materials Project, relaxed with PBE+U.

Atomic structure:
Cell: 10.692 6.131 10.827 Å, 90.00 109.05 90.00°
Space group C2/m (No. 12)
Unique sites:
Na (0.000, 0.000, 0.000) (multiplicity 2)
Na (0.250, 0.250, 0.000) (multiplicity 4)
Na (0.250, 0.250, 0.500) (multiplicity 4)
Fe (0.000, 0.000, 0.500) (multiplicity 2)
Fe (0.000, 0.248, 0.251) (multiplicity 8)
Fe (0.000, 0.500, 0.000) (multiplicity 2)
Fe (0.000, 0.500, 0.500) (multiplicity 2)
Fe (0.248, 0.500, 0.251) (multiplicity 4)
Fe (0.250, 0.000, 0.252) (multiplicity 4)
O (0.112, 0.500, 0.366) (multiplicity 4)
O (0.116, 0.000, 0.362) (multiplicity 4)
O (0.118, 0.246, 0.624) (multiplicity 8)
O (0.118, 0.500, 0.861) (multiplicity 4)
O (0.120, 0.000, 0.850) (multiplicity 4)
O (0.124, 0.265, 0.137) (multiplicity 8)

Top 10 peaks for 15 to 90 degrees two-theta, low angle first:
index  2theta  Rel. int.
0 0 2  17.33  14
0 0 4  35.07  14
4 0 0  35.53  13
2 2 -2  35.75  25
2 2 2  41.25  100
4 0 4  59.19  10
2 2 -6  59.44  19
6 2 -2  60.05  19
0 4 0  60.39  9
4 4 -4  75.74  8

Record 6
Theoretical powder diffraction line list of Na3FeO4 for Cu Kα, from a crystal structure in the Materials Project, relaxed with PBE+U.

Atomic structure:
Cell: 5.761 6.494 5.319 Å, 90.00 110.04 90.00°
Space group P2/c (No. 13)
Unique sites:
Na (0.000, 0.118, 0.250) (multiplicity 2)
Na (0.000, 0.378, 0.750) (multiplicity 2)
Na (0.500, 0.382, 0.250) (multiplicity 2)
Fe (0.500, 0.126, 0.750) (multiplicity 2)
O (0.281, 0.323, 0.551) (multiplicity 4)
O (0.313, 0.097, 0.990) (multiplicity 4)

Top 10 peaks for 15 to 90 degrees two-theta, low angle first:
index  2theta  Rel. int.
1 0 0  16.38  46
1 1 0  21.37  16
0 1 1  22.45  20
1 1 -1  23.97  18
2 0 0  33.11  15
1 2 -1  33.98  31
1 2 1  39.74  100
2 0 -2  39.85  50
3 2 -1  55.61  27
1 2 -3  59.43  25

Record 7
Theoretical powder diffraction line list of Na3FeO4 for Cu Kα, from a crystal structure in the Materials Project, relaxed with PBE+U.

Atomic structure:
Cell: 6.071 5.529 7.311 Å, 90.00 92.89 90.00°
Space group P2_1 (No. 4)
Unique sites:
Na (0.148, 0.000, 0.246) (multiplicity 2)
Na (0.322, 0.513, 0.491) (multiplicity 2)
Na (0.323, 0.499, 0.005) (multiplicity 2)
Fe (0.180, 0.017, 0.749) (multiplicity 2)
O (0.093, 0.422, 0.237) (multiplicity 2)
O (0.198, 0.329, 0.737) (multiplicity 2)
O (0.299, 0.917, 0.959) (multiplicity 2)
O (0.309, 0.935, 0.548) (multiplicity 2)

Top 10 peaks for 15 to 90 degrees two-theta, low angle first:
index  2theta  Rel. int.
1 0 -1  18.54  24
1 0 1  19.50  24
0 1 1  20.14  51
1 1 0  21.75  27
1 0 -2  27.88  28
1 0 2  29.18  32
2 0 0  29.47  39
0 2 0  32.36  100
1 1 2  33.47  36
2 1 0  33.72  27

Record 8
Theoretical powder diffraction line list of Na4FeO5 for Cu Kα, from a crystal structure in the Materials Project, relaxed with PBE+U.

Atomic structure:
Cell: 5.660 10.001 10.025 Å, 113.16 96.46 96.09°
Space group P-1 (No. 2)
Unique sites:
Na (0.000, 0.000, 0.000) (multiplicity 1)
Na (0.001, 0.395, 0.597) (multiplicity 2)
Na (0.005, 0.195, 0.806) (multiplicity 2)
Na (0.242, 0.938, 0.548) (multiplicity 2)
Na (0.247, 0.546, 0.938) (multiplicity 2)
Na (0.275, 0.155, 0.354) (multiplicity 2)
Na (0.276, 0.361, 0.159) (multiplicity 2)
Na (0.497, 0.096, 0.902) (multiplicity 2)
Na (0.500, 0.500, 0.500) (multiplicity 1)
Fe (0.211, 0.762, 0.782) (multiplicity 2)
Fe (0.488, 0.734, 0.292) (multiplicity 2)
O (0.061, 0.348, 0.350) (multiplicity 2)
O (0.116, 0.774, 0.951) (multiplicity 2)
O (0.127, 0.931, 0.772) (multiplicity 2)
O (0.204, 0.192, 0.605) (multiplicity 2)
O (0.208, 0.603, 0.190) (multiplicity 2)
O (0.323, 0.587, 0.724) (multiplicity 2)
O (0.383, 0.904, 0.317) (multiplicity 2)
O (0.398, 0.316, 0.882) (multiplicity 2)
O (0.406, 0.710, 0.452) (multiplicity 2)
O (0.471, 0.152, 0.152) (multiplicity 2)

Top 10 peaks for 15 to 90 degrees two-theta, low angle first:
index  2theta  Rel. int.
1 1 -1  19.20  35
0 2 0  19.56  74
0 2 -2  21.26  26
1 -2 3  33.17  75
1 1 -4  38.01  100
1 -4 1  38.16  99
2 1 1  39.35  94
0 5 -5  54.93  23
-2 3 3  54.99  24
1 0 5  55.86  66